[1]
The following is a theoretical PXRD pattern of PmPr2Dy6Tm. It was derived from a cell relaxed with GGA-PBE, using Cu Kα (λ = 1.5418 Å).
Lines closer than 0.1° are merged.

Lattice parameters (Å, degrees): 9.0660 15.0648 9.7473 90.00 98.95 90.00
Space group C2/c (No. 15)
Asymmetric unit:
Pm 0.0000 0.0171 0.2500
Pr 0.2458 0.0506 0.5428
Dy 0.0682 0.1911 0.9427
Dy 0.0985 0.3939 0.1188
Dy 0.2038 0.2230 0.3124
Tm 0.0000 0.4070 0.7500

Peak list (10 most intense, 10 to 90 degrees two-theta, by intensity)
hkl 2 2 2, 31.64 deg, 2.828 Å, I = 1000; hkl 1 3 -3, 33.33 deg, 2.689 Å, I = 999; hkl 3 1 -1, 30.52 deg, 2.929 Å, I = 929; hkl 1 5 0, 31.32 deg, 2.856 Å, I = 792; hkl 0 2 3, 30.27 deg, 2.953 Å, I = 663; hkl 1 3 2, 28.59 deg, 3.122 Å, I = 655; hkl 2 4 -1, 31.50 deg, 2.840 Å, I = 547; hkl 2 2 -3, 33.89 deg, 2.645 Å, I = 236; hkl 1 5 -1, 32.25 deg, 2.776 Å, I = 228; hkl 1 1 5, 50.36 deg, 1.812 Å, I = 217

=====

[2]
The following is a theoretical PXRD pattern of Na3Bi4O8. It was derived from a cell relaxed with GGA-PBE, using Cu Kα (λ = 1.5418 Å).
Lines closer than 0.1° are merged.

Lattice parameters (Å, degrees): 9.6779 10.0358 6.8490 90.00 134.07 90.00
Space group C2/m (No. 12)
Asymmetric unit:
Na 0.0000 0.0000 0.0000
Na 0.2500 0.2500 0.0000
Bi 0.0000 0.0000 0.5000
Bi 0.0000 0.5000 0.0000
Bi 0.2500 0.2500 0.5000
O 0.0000 0.2302 0.5000
O 0.0000 0.2582 0.0000
O 0.2298 0.0000 0.9468
O 0.2422 0.0000 0.4992

Peak list (10 most intense, 10 to 90 degrees two-theta, by intensity)
hkl 1 1 -1, 15.67 deg, 5.657 Å, I = 1000; hkl 2 2 0, 31.30 deg, 2.858 Å, I = 704; hkl 2 2 -2, 31.63 deg, 2.828 Å, I = 689; hkl 0 4 0, 35.79 deg, 2.509 Å, I = 449; hkl 4 0 0, 52.58 deg, 1.741 Å, I = 438; hkl 0 0 2, 36.52 deg, 2.461 Å, I = 422; hkl 4 0 -2, 37.16 deg, 2.419 Å, I = 407; hkl 2 0 -1, 18.34 deg, 4.838 Å, I = 324; hkl 0 2 1, 25.35 deg, 3.514 Å, I = 301; hkl 0 4 2, 52.06 deg, 1.757 Å, I = 298

=====

[3]
The following is a theoretical PXRD pattern of BaYReN4. It was derived from a cell relaxed with GGA-PBE, using Cu Kα (λ = 1.5418 Å).
Lines closer than 0.1° are merged.

Lattice parameters (Å, degrees): 5.9532 5.9984 7.4507 90.00 106.67 90.00
Space group P2_1/m (No. 11)
Asymmetric unit:
Ba 0.2196 0.2500 0.4292
Y 0.2990 0.2500 0.9582
Re 0.2438 0.7500 0.1657
N 0.0482 0.7500 0.9321
N 0.0526 0.7500 0.3203
N 0.4472 0.5101 0.1987

Peak list (10 most intense, 10 to 90 degrees two-theta, by intensity)
hkl 1 0 1, 22.55 deg, 3.943 Å, I = 1000; hkl 0 1 2, 29.12 deg, 3.067 Å, I = 887; hkl 0 2 0, 29.79 deg, 2.999 Å, I = 840; hkl 1 1 -2, 29.47 deg, 3.031 Å, I = 587; hkl 2 1 -2, 37.39 deg, 2.405 Å, I = 549; hkl 0 1 1, 19.33 deg, 4.592 Å, I = 529; hkl 2 2 0, 43.81 deg, 2.067 Å, I = 507; hkl 2 0 0, 31.37 deg, 2.852 Å, I = 496; hkl 1 0 -1, 16.89 deg, 5.250 Å, I = 475; hkl 1 1 2, 36.53 deg, 2.460 Å, I = 395

=====

Number 1 is which compound?
PmPr2Dy6Tm

=====

What is the formula in the third record?
BaYReN4

=====

What is the formula in the second record?
Na3Bi4O8